# TbHo2Ga3CuGe2
Simulated PXRD pattern, Cu Kα, 1.54184 Å. Input: the GGA-PBE geometry in OQMD.
Intensities are scaled so that the largest is 100.

Cell and atoms:
```
data_TbHo2Ga3CuGe2
_cell_length_a 4.1472
_cell_length_b 12.1868
_cell_length_c 7.0182
_cell_angle_alpha 90.00
_cell_angle_beta 90.00
_cell_angle_gamma 90.00
_symmetry_space_group_name_H-M 'A m m 2'
_symmetry_Int_Tables_number 38
loop_
_symmetry_equiv_pos_as_xyz
'x,y,z'
'-x,-y,z'
'-x,y,z'
'x,-y,z'
'x,y+1/2,z+1/2'
'-x,-y+1/2,z+1/2'
'-x,y+1/2,z+1/2'
'x,-y+1/2,z+1/2'
loop_
_atom_site_label
_atom_site_type_symbol
_atom_site_fract_x
_atom_site_fract_y
_atom_site_fract_z
Tb1 Tb 0.0000 0.0000 0.0000
Ho1 Ho 0.0000 0.2003 0.3996
Ga1 Ga 0.5000 0.0000 0.3644
Ga2 Ga 0.5000 0.1176 0.7165
Cu1 Cu 0.0000 0.0000 0.5969
Ge1 Ge 0.5000 0.1677 0.1000
```

The 10 most intense peaks (2θ from 10° to 90°), by intensity:
33.43 deg, rel. 100, (1 0 2)
36.63 deg, rel. 64, (1 2 2)
39.16 deg, rel. 35, (0 5 1)
43.65 deg, rel. 24, (2 0 0)
44.67 deg, rel. 21, (0 3 3)
60.07 deg, rel. 20, (2 5 1)
25.35 deg, rel. 17, (0 0 2)
59.06 deg, rel. 14, (1 7 1)
64.23 deg, rel. 14, (2 3 3)
45.07 deg, rel. 13, (1 5 1)

=====

# TmReW
Simulated PXRD pattern, Cu Kα, 1.54184 Å. Input: the GGA-PBE geometry in OQMD.
Intensities are scaled so that the largest is 100.

Cell and atoms:
```
data_TmReW
_cell_length_a 6.3012
_cell_length_b 6.3012
_cell_length_c 6.3012
_cell_angle_alpha 90.00
_cell_angle_beta 90.00
_cell_angle_gamma 90.00
_symmetry_space_group_name_H-M 'F -4 3 m'
_symmetry_Int_Tables_number 216
_symmetry_space_group_name_Hall 'F -4 2 3'
loop_
_atom_site_label
_atom_site_type_symbol
_atom_site_fract_x
_atom_site_fract_y
_atom_site_fract_z
Tm1 Tm 0.0000 0.0000 0.0000
Re1 Re 0.0000 0.0000 0.5000
W1 W 0.2500 0.2500 0.7500
```

The 10 most intense peaks (2θ from 10° to 90°), by intensity:
40.49 deg, rel. 100, (2 2 0)
73.65 deg, rel. 35, (4 2 2)
24.47 deg, rel. 29, (1 1 1)
58.60 deg, rel. 17, (4 0 0)
47.88 deg, rel. 14, (3 1 1)
28.33 deg, rel. 13, (2 0 0)
87.59 deg, rel. 12, (4 4 0)
64.46 deg, rel. 6, (3 3 1)
66.34 deg, rel. 5, (4 2 0)
78.95 deg, rel. 5, (5 1 1)

=====

# DyHoFe2Ni6B2
Simulated PXRD pattern, Cu Kα, 1.54184 Å. Input: the GGA-PBE geometry in OQMD.
Intensities are scaled so that the largest is 100.

Cell and atoms:
```
data_DyHoFe2Ni6B2
_cell_length_a 5.0080
_cell_length_b 5.0080
_cell_length_c 7.0024
_cell_angle_alpha 90.00
_cell_angle_beta 90.00
_cell_angle_gamma 120.00
_symmetry_space_group_name_H-M 'P 6/m m m'
_symmetry_Int_Tables_number 191
_symmetry_space_group_name_Hall '-P 6 2'
loop_
_atom_site_label
_atom_site_type_symbol
_atom_site_fract_x
_atom_site_fract_y
_atom_site_fract_z
Dy1 Dy 0.0000 0.0000 0.0000
Ho1 Ho 0.0000 0.0000 0.5000
Fe1 Fe 0.3333 0.6667 0.0000
Ni1 Ni 0.0000 0.5000 0.2931
B1 B 0.3333 0.6667 0.5000
```

The 10 most intense peaks (2θ from 10° to 90°), by intensity:
44.48 deg, rel. 100, (1 1 2)
32.88 deg, rel. 98, (1 0 2)
41.65 deg, rel. 79, (2 0 0)
62.57 deg, rel. 31, (2 1 2)
35.86 deg, rel. 31, (1 1 0)
70.47 deg, rel. 24, (3 0 2)
76.01 deg, rel. 21, (2 2 0)
20.48 deg, rel. 17, (1 0 0)
68.94 deg, rel. 16, (2 0 4)
65.00 deg, rel. 15, (1 1 4)

=====

# UIrPt4
Simulated PXRD pattern, Cu Kα, 1.54184 Å. Input: the GGA-PBE geometry in OQMD.
Intensities are scaled so that the largest is 100.

Cell and atoms:
```
data_UIrPt4
_cell_length_a 7.4650
_cell_length_b 7.4650
_cell_length_c 7.4650
_cell_angle_alpha 90.00
_cell_angle_beta 90.00
_cell_angle_gamma 90.00
_symmetry_space_group_name_H-M 'F -4 3 m'
_symmetry_Int_Tables_number 216
_symmetry_space_group_name_Hall 'F -4 2 3'
loop_
_atom_site_label
_atom_site_type_symbol
_atom_site_fract_x
_atom_site_fract_y
_atom_site_fract_z
U1 U 0.0000 0.0000 0.0000
Ir1 Ir 0.2500 0.2500 0.7500
Pt1 Pt 0.1248 0.1248 0.3752
```

The 10 most intense peaks (2θ from 10° to 90°), by intensity:
40.06 deg, rel. 100, (3 1 1)
41.92 deg, rel. 38, (2 2 2)
64.91 deg, rel. 33, (5 1 1)
33.97 deg, rel. 29, (2 2 0)
71.49 deg, rel. 29, (4 4 0)
86.47 deg, rel. 15, (6 2 2)
85.25 deg, rel. 12, (5 3 3)
60.78 deg, rel. 11, (4 2 2)
81.56 deg, rel. 5, (6 2 0)
48.80 deg, rel. 4, (4 0 0)

=====

# RbNaAsPd
Simulated PXRD pattern, Cu Kα, 1.54184 Å. Input: the GGA-PBE geometry in OQMD.
Intensities are scaled so that the largest is 100.

Cell and atoms:
```
data_RbNaAsPd
_cell_length_a 6.0593
_cell_length_b 5.6695
_cell_length_c 6.4324
_cell_angle_alpha 90.00
_cell_angle_beta 104.35
_cell_angle_gamma 90.00
_symmetry_space_group_name_H-M 'P 1 21/m 1'
_symmetry_Int_Tables_number 11
loop_
_symmetry_equiv_pos_as_xyz
'x,y,z'
'-x,-y,-z'
'-x,y+1/2,-z'
'x,-y+1/2,z'
loop_
_atom_site_label
_atom_site_type_symbol
_atom_site_fract_x
_atom_site_fract_y
_atom_site_fract_z
Rb1 Rb 0.0412 0.2500 0.1724
Na1 Na 0.3455 0.7500 0.5268
As1 As 0.2819 0.2500 0.7107
Pd1 Pd 0.5000 0.0000 0.0000
```

The 10 most intense peaks (2θ from 10° to 90°), by intensity:
14.21 deg, rel. 100, (0 0 1)
30.27 deg, rel. 84, (2 0 -1)
39.57 deg, rel. 69, (1 2 1)
18.01 deg, rel. 63, (1 0 -1)
33.04 deg, rel. 63, (1 1 -2)
35.16 deg, rel. 51, (1 2 0)
43.14 deg, rel. 44, (0 2 2)
35.82 deg, rel. 43, (1 0 2)
21.79 deg, rel. 40, (1 1 0)
57.19 deg, rel. 38, (3 2 0)